# Pm8Ge5As
Computed X-ray powder pattern, Cu Kα, 1.54184 Å. Input: the PBE geometry in Alexandria.

Principal peaks in the range 2θ from 10° to 80°, by angle:
d_spacing  I_rel  hkl
3.708  10  2 1 1
3.211  16  2 0 2
2.872  100  3 1 0
2.428  60  3 1 2
1.854  18  2 4 2
1.781  34  4 1 3
1.474  21  1 6 1
1.436  11  6 2 0
1.402  14  1 5 4
1.236  15  1 2 7

Lattice parameters (Å, degrees): 9.086 9.086 9.079 90.00 90.00 90.00
Space group I-4 (No. 82)
Symmetry-distinct sites (fractional):
1 Pm 0.066 0.316 0.440 x8
2 Pm 0.067 0.185 0.809 x8
3 Ge 0.000 0.000 0.500 x2
4 Ge 0.125 0.249 0.125 x8
5 As 0.000 0.500 0.750 x2